(1)
Calculated powder X-ray diffraction pattern of Ti5HgS8 for Cu Ka, from a GGA-PBE-relaxed structure.
No peak broadening, texture or thermal motion is included.

Atomic structure:
Unit cell a=17.9244 b=3.3975 c=9.0542 alpha=90.00 beta=104.71 gamma=90.00
Space group C2/m (No. 12)
Asymmetric unit:
Ti 0.0000 0.0000 0.0000 (multiplicity 2)
Ti 0.1629 0.5000 0.9958 (multiplicity 4)
Ti 0.2080 0.5000 0.3492 (multiplicity 4)
Hg 0.0000 0.5000 0.5000 (multiplicity 2)
S 0.0765 0.5000 0.1654 (multiplicity 4)
S 0.0895 0.0000 0.8367 (multiplicity 4)
S 0.1639 0.0000 0.4947 (multiplicity 4)
S 0.2450 0.0000 0.1719 (multiplicity 4)

Principal peaks in the range 15° ≤ 2θ ≤ 90°, in order of rising 2θ:
2θ 20.3, d 4.379, rel. 75, (0 0 2); 2θ 20.4, d 4.343, rel. 83, (4 0 -1); 2θ 25.0, d 3.563, rel. 54, (2 0 2); 2θ 29.1, d 3.067, rel. 39, (1 1 1); 2θ 30.9, d 2.891, rel. 44, (3 1 -1); 2θ 32.5, d 2.755, rel. 50, (6 0 -2); 2θ 33.5, d 2.676, rel. 100, (3 1 1); 2θ 34.6, d 2.593, rel. 79, (3 1 -2); 2θ 40.7, d 2.215, rel. 67, (3 1 -3); 2θ 41.6, d 2.171, rel. 39, (6 0 2); 2θ 46.7, d 1.946, rel. 38, (3 1 3); 2θ 53.3, d 1.717, rel. 52, (9 1 -1)

(2)
Calculated powder X-ray diffraction pattern of BaMg6Tl2 for Cu Ka, from a GGA-PBE-relaxed structure.
No peak broadening, texture or thermal motion is included.

Atomic structure:
Unit cell a=4.8015 b=4.8015 c=10.7380 alpha=90.00 beta=90.00 gamma=90.00
Space group P4/mmm (No. 123)
Asymmetric unit:
Ba 0.0000 0.0000 0.0000 (multiplicity 1)
Mg 0.0000 0.0000 0.5000 (multiplicity 1)
Mg 0.0000 0.5000 0.3091 (multiplicity 4)
Mg 0.5000 0.5000 0.5000 (multiplicity 1)
Tl 0.5000 0.5000 0.1453 (multiplicity 2)

Principal peaks in the range 15° ≤ 2θ ≤ 90°, in order of rising 2θ:
2θ 18.5, d 4.802, rel. 45, (1 0 0); 2θ 24.9, d 3.579, rel. 41, (1 0 2); 2θ 26.2, d 3.395, rel. 64, (1 1 0); 2θ 27.6, d 3.237, rel. 65, (1 1 1); 2θ 31.2, d 2.870, rel. 100, (1 0 3); 2θ 36.5, d 2.463, rel. 35, (1 1 3); 2θ 37.5, d 2.401, rel. 52, (2 0 0); 2θ 38.4, d 2.343, rel. 65, (1 0 4); 2θ 49.5, d 1.841, rel. 51, (2 1 3); 2θ 54.7, d 1.677, rel. 43, (2 1 4); 2θ 66.9, d 1.398, rel. 19, (1 1 7); 2θ 76.3, d 1.248, rel. 25, (3 2 3)

Repeat the second record exactly.
Calculated powder X-ray diffraction pattern of BaMg6Tl2 for Cu Ka, from a GGA-PBE-relaxed structure.
No peak broadening, texture or thermal motion is included.

Atomic structure:
Unit cell a=4.8015 b=4.8015 c=10.7380 alpha=90.00 beta=90.00 gamma=90.00
Space group P4/mmm (No. 123)
Asymmetric unit:
Ba 0.0000 0.0000 0.0000 (multiplicity 1)
Mg 0.0000 0.0000 0.5000 (multiplicity 1)
Mg 0.0000 0.5000 0.3091 (multiplicity 4)
Mg 0.5000 0.5000 0.5000 (multiplicity 1)
Tl 0.5000 0.5000 0.1453 (multiplicity 2)

Principal peaks in the range 15° ≤ 2θ ≤ 90°, in order of rising 2θ:
2θ 18.5, d 4.802, rel. 45, (1 0 0); 2θ 24.9, d 3.579, rel. 41, (1 0 2); 2θ 26.2, d 3.395, rel. 64, (1 1 0); 2θ 27.6, d 3.237, rel. 65, (1 1 1); 2θ 31.2, d 2.870, rel. 100, (1 0 3); 2θ 36.5, d 2.463, rel. 35, (1 1 3); 2θ 37.5, d 2.401, rel. 52, (2 0 0); 2θ 38.4, d 2.343, rel. 65, (1 0 4); 2θ 49.5, d 1.841, rel. 51, (2 1 3); 2θ 54.7, d 1.677, rel. 43, (2 1 4); 2θ 66.9, d 1.398, rel. 19, (1 1 7); 2θ 76.3, d 1.248, rel. 25, (3 2 3)